No. 1
For Cs2TiSiF6, a cell relaxed with PBE gives the simulated X-ray powder pattern in this record (Cu Kα (weighted mean of Kα1 and Kα2)).
Intensities are scaled so that the largest is 100.

Atomic structure:
```
data_Cs2TiSiF6
_cell_length_a 5.9638
_cell_length_b 5.9638
_cell_length_c 11.1620
_cell_angle_alpha 90.00
_cell_angle_beta 90.00
_cell_angle_gamma 90.00
_symmetry_space_group_name_H-M 'I 4/m m m'
_symmetry_Int_Tables_number 139
_symmetry_space_group_name_Hall '-I 4 2'
loop_
_atom_site_label
_atom_site_type_symbol
_atom_site_fract_x
_atom_site_fract_y
_atom_site_fract_z
Cs1 Cs 0.0000 0.5000 0.2500
Ti1 Ti 0.0000 0.0000 0.0000
Si1 Si 0.0000 0.0000 0.5000
F1 F 0.0000 0.0000 0.1726
F2 F 0.2438 0.2438 0.0000
```

Most intense lines, 2θ from 10° to 90°, in order of rising 2θ:
Position (°2θ)	I/Imax	hkl
21.07	17	1 1 0
26.49	100	1 1 2
29.97	32	2 0 0
32.07	25	0 0 4
34.09	42	2 0 2
42.89	27	2 2 0
51.12	32	3 1 2
53.86	19	1 1 6
54.55	20	2 2 4
71.19	18	3 1 6


No. 2
For PaCuPd2, a cell relaxed with PBE gives the simulated X-ray powder pattern in this record (Cu Kα (weighted mean of Kα1 and Kα2)).
Intensities are scaled so that the largest is 100.

Atomic structure:
```
data_PaCuPd2
_cell_length_a 7.0494
_cell_length_b 7.4089
_cell_length_c 5.4198
_cell_angle_alpha 90.00
_cell_angle_beta 90.00
_cell_angle_gamma 90.00
_symmetry_space_group_name_H-M 'P n m a'
_symmetry_Int_Tables_number 62
loop_
_symmetry_equiv_pos_as_xyz
'x,y,z'
'-x,-y,-z'
'-x+1/2,-y,z+1/2'
'x+1/2,y,-z+1/2'
'x+1/2,-y+1/2,-z+1/2'
'-x+1/2,y+1/2,z+1/2'
'-x,y+1/2,-z'
'x,-y+1/2,z'
loop_
_atom_site_label
_atom_site_type_symbol
_atom_site_fract_x
_atom_site_fract_y
_atom_site_fract_z
Pa1 Pa 0.0278 0.2500 0.1244
Cu1 Cu 0.1101 0.7500 0.3708
Pd1 Pd 0.1972 0.0529 0.5731
```

Most intense lines, 2θ from 10° to 90°, in order of rising 2θ:
Position (°2θ)	I/Imax	hkl
31.90	52	1 2 1
32.63	46	2 1 1
35.14	90	2 2 0
37.57	100	1 1 2
38.99	24	2 2 1
41.90	45	3 0 1
42.21	37	1 3 1
43.73	18	3 1 1
51.73	25	1 3 2
64.66	19	3 3 2


No. 3
For ZrScO, a cell relaxed with PBE gives the simulated X-ray powder pattern in this record (Cu Kα (weighted mean of Kα1 and Kα2)).
Intensities are scaled so that the largest is 100.

Atomic structure:
```
data_ZrScO
_cell_length_a 3.2687
_cell_length_b 5.7072
_cell_length_c 6.1160
_cell_angle_alpha 62.34
_cell_angle_beta 74.55
_cell_angle_gamma 89.99
_symmetry_space_group_name_H-M 'P -1'
_symmetry_Int_Tables_number 2
loop_
_symmetry_equiv_pos_as_xyz
'x,y,z'
'-x,-y,-z'
loop_
_atom_site_label
_atom_site_type_symbol
_atom_site_fract_x
_atom_site_fract_y
_atom_site_fract_z
Zr1 Zr 0.1272 0.3012 0.2470
Sc1 Sc 0.3727 0.2074 0.7542
O1 O 0.2494 0.7708 0.0008
```

Most intense lines, 2θ from 10° to 90°, in order of rising 2θ:
Position (°2θ)	I/Imax	hkl
17.77	20	0 1 1
31.54	11	1 -1 0
34.73	27	0 0 2
35.94	45	0 2 0
36.13	100	1 1 2
47.58	19	0 2 3
55.92	20	1 3 2
56.29	10	2 0 1
63.13	20	1 1 -2
68.62	12	2 -2 1


No. 4
For La2Ho4In, a cell relaxed with PBE gives the simulated X-ray powder pattern in this record (Cu Kα (weighted mean of Kα1 and Kα2)).
Intensities are scaled so that the largest is 100.

Atomic structure:
```
data_La2Ho4In
_cell_length_a 6.5398
_cell_length_b 12.0110
_cell_length_c 6.4457
_cell_angle_alpha 90.00
_cell_angle_beta 116.97
_cell_angle_gamma 90.00
_symmetry_space_group_name_H-M 'P 1 21/c 1'
_symmetry_Int_Tables_number 14
loop_
_symmetry_equiv_pos_as_xyz
'x,y,z'
'-x,-y,-z'
'-x,y+1/2,-z+1/2'
'x,-y+1/2,z+1/2'
loop_
_atom_site_label
_atom_site_type_symbol
_atom_site_fract_x
_atom_site_fract_y
_atom_site_fract_z
La1 La 0.1812 0.0179 0.3283
Ho1 Ho 0.1609 0.1992 0.8286
Ho2 Ho 0.3483 0.7260 0.1865
In1 In 0.5000 0.0000 0.0000
```

Most intense lines, 2θ from 10° to 90°, in order of rising 2θ:
Position (°2θ)	I/Imax	hkl
28.34	26	2 1 -1
29.75	55	0 4 0
31.57	98	2 1 0
32.04	45	0 1 2
33.22	53	2 1 -2
33.97	40	1 4 -1
34.65	100	1 3 1
35.48	32	2 3 -1
54.79	22	3 3 -3
56.38	20	4 0 -2


No. 5
For PrHo2Er2Tm2, a cell relaxed with PBE gives the simulated X-ray powder pattern in this record (Cu Kα (weighted mean of Kα1 and Kα2)).
Intensities are scaled so that the largest is 100.

Atomic structure:
```
data_PrHo2Er2Tm2
_cell_length_a 17.5310
_cell_length_b 3.4781
_cell_length_c 8.2868
_cell_angle_alpha 90.00
_cell_angle_beta 116.53
_cell_angle_gamma 90.00
_symmetry_space_group_name_H-M 'C 1 2/m 1'
_symmetry_Int_Tables_number 12
loop_
_symmetry_equiv_pos_as_xyz
'x,y,z'
'-x,-y,-z'
'-x,y,-z'
'x,-y,z'
'x+1/2,y+1/2,z'
'-x+1/2,-y+1/2,-z'
'-x+1/2,y+1/2,-z'
'x+1/2,-y+1/2,z'
loop_
_atom_site_label
_atom_site_type_symbol
_atom_site_fract_x
_atom_site_fract_y
_atom_site_fract_z
Pr1 Pr 0.0000 0.0000 0.0000
Ho1 Ho 0.0725 0.5000 0.4143
Er1 Er 0.2111 0.0000 0.2978
Tm1 Tm 0.1503 0.5000 0.8918
```

Most intense lines, 2θ from 10° to 90°, in order of rising 2θ:
Position (°2θ)	I/Imax	hkl
27.82	79	1 1 -1
30.77	100	6 0 -1
30.94	96	2 0 2
33.11	75	4 0 -3
34.25	93	3 1 -2
35.98	75	3 1 1
38.65	37	5 1 0
54.02	37	1 1 -4
62.21	27	6 2 -1
63.62	45	4 2 -3


No. 6
For Tb4Tm2Ge3O2, a cell relaxed with PBE gives the simulated X-ray powder pattern in this record (Cu Kα (weighted mean of Kα1 and Kα2)).
Intensities are scaled so that the largest is 100.

Atomic structure:
```
data_Tb4Tm2Ge3O2
_cell_length_a 4.5560
_cell_length_b 4.5560
_cell_length_c 23.4530
_cell_angle_alpha 90.00
_cell_angle_beta 90.00
_cell_angle_gamma 90.00
_symmetry_space_group_name_H-M 'I 4/m m m'
_symmetry_Int_Tables_number 139
_symmetry_space_group_name_Hall '-I 4 2'
loop_
_atom_site_label
_atom_site_type_symbol
_atom_site_fract_x
_atom_site_fract_y
_atom_site_fract_z
Tb1 Tb 0.0000 0.5000 0.0811
Tm1 Tm 0.0000 0.0000 0.1985
Ge1 Ge 0.0000 0.0000 0.3228
Ge2 Ge 0.0000 0.0000 0.5000
O1 O 0.0000 0.0000 0.1033
```

Most intense lines, 2θ from 10° to 90°, in order of rising 2θ:
Position (°2θ)	I/Imax	hkl
22.59	18	1 0 3
28.74	76	1 1 2
30.49	22	0 0 8
31.69	24	1 1 4
33.19	17	1 0 7
36.13	100	1 1 6
39.56	66	2 0 0
50.75	21	2 0 8
57.19	22	2 2 0
69.55	34	3 1 6